[1]
The following is a theoretical powder X-ray diffraction pattern of Rb2AlGeI6. It was derived from the GGA-PBE geometry in Alexandria, using Cu Kα, 1.54184 Å.
Neutral-atom scattering factors, no anomalous dispersion.

The 10 most intense peaks (5 to 70 degrees two-theta), in order of rising 2θ:
two_theta  Rel. int.  h k l
15.04  140  1 1 0
26.21  1000  2 0 2
30.32  536  2 2 0
30.44  265  0 0 4
43.47  585  4 0 0
51.41  302  4 2 2
51.57  149  2 0 6
53.94  204  4 0 4
63.06  63  4 4 0
69.63  120  4 2 6

Crystal structure
```
data_Rb2AlGeI6
_chemical_formula_sum 'Rb4 Al2 Ge2 I12'
_cell_length_a 8.339
_cell_length_b 8.339
_cell_length_c 11.746
_cell_angle_alpha 90.00
_cell_angle_beta 90.00
_cell_angle_gamma 90.00
_space_group_name_H-M_alt 'I 4/m m m'
_space_group_IT_number 139
_space_group_name_Hall '-I 4 2'
loop_
_atom_site_label
_atom_site_type_symbol
_atom_site_fract_x
_atom_site_fract_y
_atom_site_fract_z
_atom_site_occupancy
Rb1 Rb 0.000 0.500 0.250 1
Al1 Al 0.000 0.000 0.000 1
Ge1 Ge 0.000 0.000 0.500 1
I1 I 0.000 0.000 0.244 1
I2 I 0.245 0.245 0.000 1
```

---

[2]
The following is a theoretical powder X-ray diffraction pattern of ScPd7Au4. It was derived from the GGA-PBE geometry in Alexandria, using Cu Kα, 1.54184 Å.
Neutral-atom scattering factors, no anomalous dispersion.

The 10 most intense peaks (5 to 70 degrees two-theta), in order of rising 2θ:
two_theta  Rel. int.  h k l
12.66  123  0 0 1
38.36  516  1 2 -2
38.63  1000  0 0 3
38.76  530  2 0 0
44.37  339  1 -2 2
45.02  333  2 0 -3
45.20  321  1 2 1
64.78  112  1 2 -5
65.47  110  2 0 3
65.80  108  -1 2 4

Crystal structure
```
data_ScPd7Au4
_chemical_formula_sum 'Sc1 Pd7 Au4'
_cell_length_a 4.926
_cell_length_b 5.745
_cell_length_c 7.575
_cell_angle_alpha 101.85
_cell_angle_beta 108.92
_cell_angle_gamma 90.25
_space_group_name_H-M_alt 'P -1'
_space_group_IT_number 2
_space_group_name_Hall '-P 1'
loop_
_atom_site_label
_atom_site_type_symbol
_atom_site_fract_x
_atom_site_fract_y
_atom_site_fract_z
_atom_site_occupancy
Sc1 Sc 0.000 0.000 0.000 1
Pd1 Pd 0.000 0.500 0.000 1
Pd2 Pd 0.002 0.674 0.674 1
Pd3 Pd 0.497 0.080 0.328 1
Pd4 Pd 0.499 0.248 0.001 1
Au1 Au 0.000 0.169 0.667 1
Au2 Au 0.499 0.579 0.331 1
```

---

[3]
The following is a theoretical powder X-ray diffraction pattern of CaAc2Ce2Rh5. It was derived from the GGA-PBE geometry in Alexandria, using Cu Kα, 1.54184 Å.
Neutral-atom scattering factors, no anomalous dispersion.

The 10 most intense peaks (5 to 70 degrees two-theta), in order of rising 2θ:
two_theta  Rel. int.  h k l
11.04  328  1 1 0
29.18  235  2 0 1
32.56  476  4 1 0
33.27  219  2 2 1
33.53  565  3 3 0
35.15  1000  3 1 1
37.82  264  3 2 1
40.35  432  4 0 1
50.18  200  0 0 2
61.71  198  3 3 2

Crystal structure
```
data_CaAc2Ce2Rh5
_chemical_formula_sum 'Ca2 Ac4 Ce4 Rh10'
_cell_length_a 11.338
_cell_length_b 11.338
_cell_length_c 3.636
_cell_angle_alpha 90.00
_cell_angle_beta 90.00
_cell_angle_gamma 90.00
_space_group_name_H-M_alt 'P 4/m b m'
_space_group_IT_number 127
_space_group_name_Hall '-P 4 2ab'
loop_
_atom_site_label
_atom_site_type_symbol
_atom_site_fract_x
_atom_site_fract_y
_atom_site_fract_z
_atom_site_occupancy
Ca1 Ca 0.000 0.000 0.000 1
Ac1 Ac 0.171 0.329 0.000 1
Ce1 Ce 0.137 0.637 0.000 1
Rh1 Rh 0.000 0.500 0.500 1
Rh2 Rh 0.050 0.789 0.500 1
```

---

[4]
The following is a theoretical powder X-ray diffraction pattern of DyGa4Cu6. It was derived from the GGA-PBE geometry in Alexandria, using Cu Kα, 1.54184 Å.
Neutral-atom scattering factors, no anomalous dispersion.

The 10 most intense peaks (5 to 70 degrees two-theta), in order of rising 2θ:
two_theta  Rel. int.  h k l
25.82  88  1 1 0
34.20  469  1 1 1
37.46  1000  2 0 1
39.91  439  2 1 0
44.97  341  0 0 2
46.06  307  2 1 1
51.14  231  3 0 1
53.08  223  2 2 0
60.38  176  3 1 1
61.67  235  2 1 2

Crystal structure
```
data_DyGa4Cu6
_chemical_formula_sum 'Dy1 Ga4 Cu6'
_cell_length_a 6.9011
_cell_length_b 6.9011
_cell_length_c 4.0319
_cell_angle_alpha 90.00
_cell_angle_beta 90.00
_cell_angle_gamma 120.00
_space_group_name_H-M_alt 'P -6 m 2'
_space_group_IT_number 187
_space_group_name_Hall 'P -6 2'
loop_
_atom_site_label
_atom_site_type_symbol
_atom_site_fract_x
_atom_site_fract_y
_atom_site_fract_z
_atom_site_occupancy
Dy1 Dy 0.0000 0.0000 0.0000 1
Ga1 Ga 0.3333 0.6667 0.0000 1
Ga2 Ga 0.3898 0.1949 0.5000 1
Cu1 Cu 0.2090 0.4181 0.5000 1
Cu2 Cu 0.5400 0.0800 0.0000 1
```